Record 1
Diffraction record for Pa2Ga3Fe. The PXRD pattern is theoretical, not measured: it uses a DFT-relaxed cell (PBE, Alexandria) and Cu Ka.

Largest 12 diffraction maxima, most intense first, 10 to 90 degrees two-theta:
- 34.9°, I 100
- 35.1°, I 47
- 41.5°, I 41
- 23.5°, I 37
- 55.1°, I 26
- 41.1°, I 25
- 69.0°, I 18
- 23.7°, I 16
- 71.0°, I 13
- 52.4°, I 12
- 87.8°, I 11
- 68.7°, I 11

Atomic structure:
Lattice parameters (Å, degrees): 3.4909 4.3901 7.5153 90.00 90.00 90.00
Element x y z (fractional)
1 Pa 0.0000 0.0000 0.0000
2 Pa 0.0000 0.5000 0.4449
3 Ga 0.5000 0.0000 0.6253
4 Ga 0.5000 0.5000 0.1344
5 Ga 0.5000 0.5000 0.7965
6 Fe 0.5000 0.0000 0.2896


Record 2
Diffraction record for Pa4Ga12Fe. The PXRD pattern is theoretical, not measured: it uses a DFT-relaxed cell (PBE, Alexandria) and Cu Ka.

Largest 12 diffraction maxima, most intense first, 10 to 90 degrees two-theta:
- 36.2°, I 100
- 42.0°, I 56
- 29.4°, I 44
- 60.9°, I 35
- 73.0°, I 34
- 20.7°, I 30
- 47.3°, I 18
- 52.1°, I 16
- 84.3°, I 11
- 76.8°, I 11
- 69.1°, I 11
- 65.1°, I 10

Atomic structure:
Lattice parameters (Å, degrees): 7.4469 7.4469 7.4469 109.47 109.47 109.47
Element x y z (fractional)
1 Pa 0.0000 0.0000 0.5000
2 Pa 0.0000 0.5000 0.0000
3 Pa 0.5000 0.0000 0.0000
4 Pa 0.5000 0.5000 0.5000
5 Ga 0.0000 0.2860 0.2860
6 Ga 0.0000 0.7140 0.7140
7 Ga 0.2500 0.5000 0.7500
8 Ga 0.2500 0.7500 0.5000
9 Ga 0.2860 0.0000 0.2860
10 Ga 0.2860 0.2860 0.0000
11 Ga 0.5000 0.2500 0.7500
12 Ga 0.5000 0.7500 0.2500
13 Ga 0.7140 0.0000 0.7140
14 Ga 0.7140 0.7140 0.0000
15 Ga 0.7500 0.2500 0.5000
16 Ga 0.7500 0.5000 0.2500
17 Fe 0.0000 0.0000 0.0000


Record 3
Diffraction record for PaGa9Fe2. The PXRD pattern is theoretical, not measured: it uses a DFT-relaxed cell (PBE, Alexandria) and Cu Ka.

Largest 12 diffraction maxima, most intense first, 10 to 90 degrees two-theta:
- 37.0°, I 100
- 39.2°, I 63
- 37.9°, I 36
- 33.8°, I 35
- 69.7°, I 26
- 27.3°, I 25
- 45.9°, I 22
- 46.7°, I 21
- 28.8°, I 17
- 22.9°, I 16
- 43.1°, I 14
- 58.2°, I 13

Atomic structure:
Lattice parameters (Å, degrees): 8.1280 8.1280 8.1280 101.67 101.67 126.54
Element x y z (fractional)
1 Pa 0.3750 0.6250 0.7500
2 Pa 0.6250 0.3750 0.2500
3 Ga 0.1250 0.8750 0.2500
4 Ga 0.1433 0.5695 0.3316
5 Ga 0.1433 0.8117 0.5738
6 Ga 0.1883 0.2622 0.3316
7 Ga 0.1883 0.8567 0.9262
8 Ga 0.2622 0.1883 0.8316
9 Ga 0.2622 0.4305 0.0738
10 Ga 0.4305 0.2622 0.5738
11 Ga 0.4305 0.8567 0.1684
12 Ga 0.5695 0.1433 0.8316
13 Ga 0.5695 0.7378 0.4262
14 Ga 0.7378 0.5695 0.9262
15 Ga 0.7378 0.8117 0.1684
16 Ga 0.8117 0.1433 0.0738
17 Ga 0.8117 0.7378 0.6684
18 Ga 0.8567 0.1883 0.4262
19 Ga 0.8567 0.4305 0.6684
20 Ga 0.8750 0.1250 0.7500
21 Fe 0.0000 0.0000 0.0000
22 Fe 0.0000 0.0000 0.5000
23 Fe 0.0000 0.5000 0.0000
24 Fe 0.5000 0.0000 0.5000


Record 4
Diffraction record for Pa2Ga2FeSi4. The PXRD pattern is theoretical, not measured: it uses a DFT-relaxed cell (PBE, Alexandria) and Cu Ka.

Largest 12 diffraction maxima, most intense first, 10 to 90 degrees two-theta:
- 36.9°, I 100
- 29.8°, I 65
- 30.0°, I 61
- 42.6°, I 48
- 21.3°, I 40
- 20.9°, I 29
- 62.3°, I 27
- 74.2°, I 25
- 53.0°, I 25
- 53.4°, I 21
- 48.1°, I 21
- 43.3°, I 20

Atomic structure:
Lattice parameters (Å, degrees): 5.9581 5.9581 5.9581 119.50 119.50 90.87
Element x y z (fractional)
1 Pa 0.2500 0.7500 0.5000
2 Pa 0.7500 0.2500 0.5000
3 Ga 0.2155 0.2155 0.0000
4 Ga 0.7845 0.7845 0.0000
5 Fe 0.5000 0.5000 0.0000
6 Si 0.2276 0.2276 0.4551
7 Si 0.2276 0.7724 0.0000
8 Si 0.7724 0.2276 0.0000
9 Si 0.7724 0.7724 0.5449